Entry 1:
Computed PXRD pattern of Sm2SiRuC for λ = 1.5418 Å (Cu Kα), from a cell relaxed with PBE.
Lines closer than 0.1° are merged.

Largest 10 diffraction maxima, low angle first, 10 to 80 degrees two-theta:
2θ 26.51, I = 710
2θ 30.93, I = 1000
2θ 31.89, I = 381
2θ 32.69, I = 378
2θ 34.98, I = 274
2θ 35.46, I = 373
2θ 38.53, I = 325
2θ 45.72, I = 488
2θ 56.23, I = 374
2θ 59.16, I = 334

Structural model:
a b c (Å): 3.9685 3.9685 12.6578
angles (deg): 90.00 90.00 90.00
Positions (direct):
Sm 0.2500 0.2500 0.0928
Sm 0.2500 0.2500 0.7037
Sm 0.7500 0.7500 0.2963
Sm 0.7500 0.7500 0.9072
Si 0.2500 0.2500 0.3939
Si 0.7500 0.7500 0.6061
Ru 0.2500 0.7500 0.5000
Ru 0.7500 0.2500 0.5000
C 0.2500 0.2500 0.8965
C 0.7500 0.7500 0.1035

Entry 2:
Computed PXRD pattern of Al3MoPd12 for λ = 1.5418 Å (Cu Kα), from a cell relaxed with PBE.
Lines closer than 0.1° are merged.

Largest 10 diffraction maxima, low angle first, 10 to 80 degrees two-theta:
2θ 11.28, I = 16
2θ 22.71, I = 97
2θ 28.48, I = 9
2θ 32.33, I = 80
2θ 39.87, I = 1000
2θ 46.37, I = 483
2θ 52.23, I = 41
2θ 57.66, I = 31
2θ 67.67, I = 303
2θ 72.36, I = 12

Structural model:
a b c (Å): 3.9137 3.9137 15.6856
angles (deg): 90.00 90.00 90.00
Positions (direct):
Al 0.0000 0.0000 0.0000
Al 0.0000 0.0000 0.2414
Al 0.0000 0.0000 0.7586
Mo 0.0000 0.0000 0.5000
Pd 0.0000 0.5000 0.1247
Pd 0.0000 0.5000 0.3766
Pd 0.0000 0.5000 0.6234
Pd 0.0000 0.5000 0.8753
Pd 0.5000 0.0000 0.1247
Pd 0.5000 0.0000 0.3766
Pd 0.5000 0.0000 0.6234
Pd 0.5000 0.0000 0.8753
Pd 0.5000 0.5000 0.0000
Pd 0.5000 0.5000 0.2510
Pd 0.5000 0.5000 0.5000
Pd 0.5000 0.5000 0.7490

Entry 3:
Computed PXRD pattern of LaScTe2S for λ = 1.5418 Å (Cu Kα), from a cell relaxed with PBE.
Lines closer than 0.1° are merged.

Largest 10 diffraction maxima, low angle first, 10 to 80 degrees two-theta:
2θ 26.80, I = 1000
2θ 28.58, I = 772
2θ 33.73, I = 128
2θ 37.30, I = 206
2θ 40.87, I = 396
2θ 41.13, I = 188
2θ 46.19, I = 194
2θ 49.55, I = 374
2θ 59.17, I = 130
2θ 67.01, I = 133

Structural model:
a b c (Å): 4.4163 4.4163 15.1744
angles (deg): 90.00 90.00 90.00
Positions (direct):
La 0.2500 0.2500 0.1134
La 0.7500 0.7500 0.8866
Sc 0.2500 0.2500 0.6023
Sc 0.7500 0.7500 0.3977
Te 0.2500 0.2500 0.4068
Te 0.2500 0.2500 0.7842
Te 0.7500 0.7500 0.2158
Te 0.7500 0.7500 0.5932
S 0.2500 0.7500 0.0000
S 0.7500 0.2500 0.0000

Entry 4:
Computed PXRD pattern of NpPd5Pt for λ = 1.5418 Å (Cu Kα), from a cell relaxed with PBE.
Lines closer than 0.1° are merged.

Largest 10 diffraction maxima, low angle first, 10 to 80 degrees two-theta:
2θ 31.01, I = 462
2θ 33.46, I = 318
2θ 34.01, I = 415
2θ 35.22, I = 277
2θ 38.87, I = 258
2θ 39.00, I = 515
2θ 39.23, I = 807
2θ 40.40, I = 1000
2θ 48.46, I = 583
2θ 64.70, I = 245

Structural model:
a b c (Å): 5.9164 5.9164 5.9164
angles (deg): 128.97 126.16 77.35
Positions (direct):
Np 0.0000 0.0000 0.0000
Pd 0.0055 0.7509 0.2547
Pd 0.2698 0.2698 0.0000
Pd 0.4962 0.7509 0.7453
Pd 0.5236 0.2717 0.7481
Pd 0.5236 0.7754 0.2519
Pt 0.8073 0.3073 0.5000